Structure and calculated powder X-ray diffraction pattern of TbPmCoPt (a DFT-relaxed cell (PBE, Alexandria); λ = 1.5418 Å (Cu Kα)).

Cell and atoms:
Lattice parameters (Å, degrees): 6.9657 6.9657 6.9657 90.00 90.00 90.00
Space group F-43m (No. 216)
Inequivalent atoms, fractional coordinates:
Tb  0.0000  0.0000  0.0000 (multiplicity 4)
Pm  0.0000  0.0000  0.5000 (multiplicity 4)
Co  0.2500  0.2500  0.7500 (multiplicity 4)
Pt  0.2500  0.2500  0.2500 (multiplicity 4)

Most intense lines, 5° ≤ 2θ ≤ 70°, most intense first:
two_theta	I (rel.)
36.5	100.0
65.7	35.8
52.6	17.6
22.1	12.4
43.1	7.0
57.7	3.1
25.6	1.0